Diffraction record for CsCdSn3. The XRD peak list is calculated, not measured: it uses the PBE geometry in Alexandria and Cu Kα, 1.54184 Å.
Neutral-atom scattering factors, no anomalous dispersion.

Structure:
a b c (Å): 5.2232 5.2232 12.2406
angles (deg): 90.00 90.00 90.00
Space group I4mm (No. 107)
Asymmetric unit:
Cs (0.0000, 0.0000, 0.0000) (multiplicity 2)
Cd (0.0000, 0.0000, 0.3754) (multiplicity 2)
Sn (0.0000, 0.0000, 0.6183) (multiplicity 2)
Sn (0.0000, 0.5000, 0.2518) (multiplicity 4)

Principal peaks in the range 10 to 90 degrees two-theta, in order of falling intensity:
- hkl 1 1 2, 2θ 28.22, I 1000
- hkl 2 0 0, 2θ 34.34, I 757
- hkl 1 0 3, 2θ 27.74, I 581
- hkl 1 1 4, 2θ 38.19, I 374
- hkl 2 1 3, 2θ 44.70, I 315
- hkl 3 1 2, 2θ 57.82, I 274
- hkl 2 2 0, 2θ 49.35, I 273
- hkl 1 0 5, 2θ 40.70, I 251
- hkl 2 1 5, 2θ 54.28, I 215
- hkl 2 0 8, 2θ 71.46, I 180

Diffraction record for Li3ErCl6. The XRD peak list is calculated, not measured: it uses the PBE geometry in Alexandria and Cu Kα, 1.54184 Å.
Neutral-atom scattering factors, no anomalous dispersion.

Structure:
a b c (Å): 6.6105 6.6579 12.1723
angles (deg): 90.00 122.89 90.00
Space group P2_1/c (No. 14)
Asymmetric unit:
Li (0.0000, 0.0000, 0.0000) (multiplicity 2)
Li (0.2178, 0.0189, 0.7323) (multiplicity 4)
Er (0.5000, 0.0000, 0.5000) (multiplicity 2)
Cl (0.1306, 0.1097, 0.2665) (multiplicity 4)
Cl (0.2174, 0.6796, 0.0588) (multiplicity 4)
Cl (0.4319, 0.1715, 0.0932) (multiplicity 4)

Principal peaks in the range 10 to 90 degrees two-theta, in order of falling intensity:
- hkl 0 1 1, 2θ 15.92, I 1000
- hkl 1 1 -1, 2θ 18.92, I 333
- hkl 1 0 2, 2θ 29.48, I 303
- hkl 1 2 -4, 2θ 40.22, I 285
- hkl 2 1 -3, 2θ 31.46, I 238
- hkl 0 0 2, 2θ 17.35, I 229
- hkl 1 2 -2, 2θ 31.33, I 217
- hkl 1 1 -3, 2θ 25.78, I 188
- hkl 3 1 -5, 2θ 46.93, I 173
- hkl 1 3 1, 2θ 46.69, I 143

Diffraction record for CeCo2Cl8. The XRD peak list is calculated, not measured: it uses the PBE geometry in Alexandria and Cu Kα, 1.54184 Å.
Neutral-atom scattering factors, no anomalous dispersion.

Structure:
a b c (Å): 18.2891 8.3093 12.4083
angles (deg): 90.00 130.72 90.00
Space group C2/c (No. 15)
Asymmetric unit:
Ce (0.0000, 0.0022, 0.2500) (multiplicity 4)
Co (0.0883, 0.2512, 0.5302) (multiplicity 8)
Cl (0.0656, 0.2323, 0.1787) (multiplicity 8)
Cl (0.0857, 0.2286, 0.7105) (multiplicity 8)
Cl (0.1577, 0.4683, 0.5507) (multiplicity 8)
Cl (0.1593, 0.0293, 0.5268) (multiplicity 8)

Principal peaks in the range 10 to 90 degrees two-theta, in order of falling intensity:
- hkl 2 0 0, 2θ 12.78, I 1000
- hkl 2 0 2, 2θ 29.11, I 996
- hkl 1 1 0, 2θ 12.42, I 884
- hkl 2 2 -2, 2θ 25.81, I 374
- hkl 6 2 0, 2θ 44.89, I 372
- hkl 1 1 -2, 2θ 18.80, I 367
- hkl 3 1 -1, 2θ 18.31, I 364
- hkl 3 1 -2, 2θ 19.14, I 292
- hkl 6 2 -4, 2θ 38.84, I 263
- hkl 4 0 -2, 2θ 19.54, I 224

Diffraction record for AcCdBi4Rh2. The XRD peak list is calculated, not measured: it uses the PBE geometry in Alexandria and Cu Kα, 1.54184 Å.
Neutral-atom scattering factors, no anomalous dispersion.

Structure:
a b c (Å): 4.7753 4.7753 10.6353
angles (deg): 90.00 90.00 90.00
Space group P4/mmm (No. 123)
Asymmetric unit:
Ac (0.0000, 0.0000, 0.0000) (multiplicity 1)
Cd (0.0000, 0.0000, 0.5000) (multiplicity 1)
Bi (0.0000, 0.5000, 0.2493) (multiplicity 4)
Rh (0.5000, 0.5000, 0.3774) (multiplicity 2)

Principal peaks in the range 10 to 90 degrees two-theta, in order of falling intensity:
- hkl 1 1 2, 2θ 31.38, I 1000
- hkl 2 0 0, 2θ 37.67, I 426
- hkl 3 1 2, 2θ 64.11, I 268
- hkl 0 0 2, 2θ 16.67, I 189
- hkl 2 0 4, 2θ 51.44, I 172
- hkl 1 1 6, 2θ 58.84, I 166
- hkl 1 0 2, 2θ 25.07, I 158
- hkl 1 1 4, 2θ 43.31, I 153
- hkl 2 2 0, 2θ 54.34, I 150
- hkl 1 0 1, 2θ 20.39, I 141

Diffraction record for La3CePr8. The XRD peak list is calculated, not measured: it uses the PBE geometry in Alexandria and Cu Kα, 1.54184 Å.
Neutral-atom scattering factors, no anomalous dispersion.

Structure:
a b c (Å): 8.9422 8.9422 11.6269
angles (deg): 90.00 90.00 90.00
Space group I-42m (No. 121)
Asymmetric unit:
La (0.0000, 0.0000, 0.0000) (multiplicity 2)
La (0.0000, 0.5000, 0.2500) (multiplicity 4)
Ce (0.0000, 0.0000, 0.5000) (multiplicity 2)
Pr (0.1202, 0.1202, 0.2587) (multiplicity 8)
Pr (0.2382, 0.2382, 0.5185) (multiplicity 8)

Principal peaks in the range 10 to 90 degrees two-theta, in order of falling intensity:
- hkl 3 1 2, 2θ 35.30, I 1000
- hkl 2 2 0, 2θ 28.23, I 824
- hkl 0 0 4, 2θ 30.76, I 698
- hkl 4 0 2, 2θ 43.35, I 647
- hkl 2 1 1, 2θ 23.53, I 613
- hkl 2 2 2, 2θ 32.19, I 609
- hkl 2 0 2, 2θ 25.13, I 603
- hkl 2 2 4, 2θ 42.23, I 503
- hkl 5 1 2, 2θ 54.67, I 348
- hkl 1 1 0, 2θ 14.01, I 331

Diffraction record for Rb2Cd3S4. The XRD peak list is calculated, not measured: it uses the PBE geometry in Alexandria and Cu Kα, 1.54184 Å.
Neutral-atom scattering factors, no anomalous dispersion.

Structure:
a b c (Å): 14.3954 10.7311 6.7103
angles (deg): 90.00 90.00 90.00
Space group Pnma (No. 62)
Asymmetric unit:
Rb (0.0000, 0.0000, 0.0000) (multiplicity 4)
Rb (0.0344, 0.2500, 0.4782) (multiplicity 4)
Cd (0.2071, 0.7500, 0.2399) (multiplicity 4)
Cd (0.2470, 0.0937, 0.1773) (multiplicity 8)
S (0.1407, 0.5378, 0.3923) (multiplicity 8)
S (0.1436, 0.2500, 0.9553) (multiplicity 4)
S (0.1533, 0.7500, 0.8831) (multiplicity 4)

Principal peaks in the range 10 to 90 degrees two-theta, in order of falling intensity:
- hkl 0 3 1, 2θ 28.27, I 1000
- hkl 2 0 2, 2θ 29.37, I 734
- hkl 2 3 1, 2θ 30.93, I 716
- hkl 2 0 0, 2θ 12.30, I 686
- hkl 4 3 1, 2θ 37.91, I 449
- hkl 4 0 0, 2θ 24.74, I 327
- hkl 3 0 2, 2θ 32.56, I 220
- hkl 1 3 1, 2θ 28.96, I 203
- hkl 1 2 1, 2θ 22.09, I 195
- hkl 4 1 0, 2θ 26.12, I 179